1.
Simulated powder diffraction line list
Compound: La9Ir4Rh2
Radiation: Cu Kα (weighted mean of Kα1 and Kα2)
Structure: a cell relaxed with PBE
No peak broadening, texture or thermal motion is included.

Largest 10 diffraction maxima, most intense first, 2θ from 15° to 90°:
d = 2.445 Å, 2θ = 36.76°, I = 1000; d = 3.174 Å, 2θ = 28.11°, I = 926; d = 2.086 Å, 2θ = 43.37°, I = 608; d = 5.300 Å, 2θ = 16.73°, I = 351; d = 1.587 Å, 2θ = 58.12°, I = 266; d = 1.299 Å, 2θ = 72.80°, I = 260; d = 1.263 Å, 2θ = 75.22°, I = 248; d = 1.888 Å, 2θ = 48.21°, I = 210; d = 1.744 Å, 2θ = 52.48°, I = 165; d = 3.897 Å, 2θ = 22.82°, I = 148

Structure:
```
La9Ir4Rh2
1.0
7.228 0.000 0.000
-3.614 6.259 0.000
0.000 0.000 19.922
La Ir Rh
18 8 4
direct
0.000 0.335 0.083
0.000 0.335 0.417
0.000 0.335 0.750
0.000 0.665 0.250
0.000 0.665 0.583
0.000 0.665 0.917
0.335 0.000 0.083
0.335 0.000 0.417
0.335 0.000 0.750
0.335 0.335 0.250
0.335 0.335 0.583
0.335 0.335 0.917
0.665 0.000 0.250
0.665 0.000 0.583
0.665 0.000 0.917
0.665 0.665 0.083
0.665 0.665 0.417
0.665 0.665 0.750
0.333 0.667 0.001
0.333 0.667 0.166
0.333 0.667 0.501
0.333 0.667 0.666
0.667 0.333 0.334
0.667 0.333 0.499
0.667 0.333 0.834
0.667 0.333 0.999
0.000 0.000 0.170
0.000 0.000 0.330
0.000 0.000 0.670
0.000 0.000 0.830
```

2.
Simulated powder diffraction line list
Compound: CeTm4Ge4
Radiation: Cu Kα (weighted mean of Kα1 and Kα2)
Structure: a cell relaxed with PBE
No peak broadening, texture or thermal motion is included.

Largest 10 diffraction maxima, most intense first, 2θ from 15° to 90°:
d = 2.920 Å, 2θ = 30.61°, I = 1000; d = 2.044 Å, 2θ = 44.31°, I = 726; d = 3.350 Å, 2θ = 26.61°, I = 596; d = 2.863 Å, 2θ = 31.24°, I = 487; d = 1.675 Å, 2θ = 54.81°, I = 385; d = 2.065 Å, 2θ = 43.84°, I = 372; d = 1.188 Å, 2θ = 80.90°, I = 239; d = 1.758 Å, 2θ = 52.02°, I = 180; d = 1.285 Å, 2θ = 73.71°, I = 166; d = 1.306 Å, 2θ = 72.35°, I = 159

Structure:
```
CeTm4Ge4
1.0
-4.618 4.618 2.863
4.618 -4.618 2.863
4.618 4.618 -2.863
Ce Tm Ge
1 4 4
direct
0.000 0.000 0.000
0.186 0.603 0.789
0.397 0.186 0.583
0.603 0.814 0.417
0.814 0.397 0.211
0.108 0.297 0.405
0.297 0.892 0.189
0.703 0.108 0.811
0.892 0.703 0.595
```

3.
Simulated powder diffraction line list
Compound: Cs3Y7Se12
Radiation: Cu Kα (weighted mean of Kα1 and Kα2)
Structure: a cell relaxed with PBE
No peak broadening, texture or thermal motion is included.

Largest 10 diffraction maxima, most intense first, 2θ from 15° to 90°:
d = 2.974 Å, 2θ = 30.04°, I = 1000; d = 2.093 Å, 2θ = 43.22°, I = 266; d = 2.116 Å, 2θ = 42.74°, I = 249; d = 4.623 Å, 2θ = 19.20°, I = 217; d = 2.885 Å, 2θ = 30.99°, I = 179; d = 2.024 Å, 2θ = 44.79°, I = 172; d = 3.224 Å, 2θ = 27.67°, I = 172; d = 2.664 Å, 2θ = 33.64°, I = 154; d = 2.123 Å, 2θ = 42.59°, I = 149; d = 2.921 Å, 2θ = 30.61°, I = 149

Structure:
```
Cs3Y7Se12
1.0
4.186 0.000 0.000
0.000 12.844 0.000
0.000 0.000 26.645
Cs Y Se
6 14 24
direct
0.000 0.022 0.000
0.000 0.293 0.353
0.000 0.473 0.740
0.500 0.527 0.240
0.500 0.707 0.853
0.500 0.978 0.500
0.000 0.168 0.662
0.000 0.256 0.873
0.000 0.330 0.085
0.000 0.536 0.460
0.000 0.663 0.058
0.000 0.841 0.689
0.000 0.958 0.289
0.500 0.042 0.789
0.500 0.159 0.189
0.500 0.337 0.558
0.500 0.464 0.960
0.500 0.670 0.585
0.500 0.744 0.373
0.500 0.832 0.162
0.000 0.188 0.555
0.000 0.191 0.770
0.000 0.310 0.193
0.000 0.313 0.977
0.000 0.506 0.572
0.000 0.589 0.357
0.000 0.617 0.954
0.000 0.685 0.164
0.000 0.817 0.583
0.000 0.889 0.793
0.000 0.895 0.390
0.000 0.993 0.177
0.500 0.007 0.677
0.500 0.105 0.890
0.500 0.111 0.293
0.500 0.183 0.083
0.500 0.315 0.664
0.500 0.383 0.454
0.500 0.411 0.857
0.500 0.494 0.072
0.500 0.687 0.477
0.500 0.690 0.693
0.500 0.809 0.270
0.500 0.812 0.055
```

4.
Simulated powder diffraction line list
Compound: TbGdNi4
Radiation: Cu Kα (weighted mean of Kα1 and Kα2)
Structure: a cell relaxed with PBE
No peak broadening, texture or thermal motion is included.

Largest 10 diffraction maxima, most intense first, 2θ from 15° to 90°:
d = 2.169 Å, 2θ = 41.65°, I = 1000; d = 2.543 Å, 2θ = 35.29°, I = 627; d = 1.384 Å, 2θ = 67.69°, I = 304; d = 1.468 Å, 2θ = 63.35°, I = 230; d = 1.271 Å, 2θ = 74.65°, I = 224; d = 2.076 Å, 2θ = 43.59°, I = 159; d = 4.153 Å, 2θ = 21.40°, I = 118; d = 1.097 Å, 2θ = 89.31°, I = 110; d = 1.137 Å, 2θ = 85.36°, I = 103; d = 1.650 Å, 2θ = 55.70°, I = 32

Structure:
```
TbGdNi4
1.0
0.000 3.596 3.596
3.596 0.000 3.596
3.596 3.596 0.000
Tb Gd Ni
1 1 4
direct
0.000 0.000 0.000
0.750 0.750 0.750
0.375 0.375 0.375
0.375 0.375 0.875
0.375 0.875 0.375
0.875 0.375 0.375
```

5.
Simulated powder diffraction line list
Compound: Dy3Si8Os3
Radiation: Cu Kα (weighted mean of Kα1 and Kα2)
Structure: a cell relaxed with PBE
No peak broadening, texture or thermal motion is included.

Largest 10 diffraction maxima, most intense first, 2θ from 15° to 90°:
d = 3.024 Å, 2θ = 29.54°, I = 1000; d = 2.854 Å, 2θ = 31.34°, I = 661; d = 2.485 Å, 2θ = 36.14°, I = 421; d = 2.090 Å, 2θ = 43.29°, I = 385; d = 2.528 Å, 2θ = 35.51°, I = 375; d = 2.146 Å, 2θ = 42.11°, I = 245; d = 3.691 Å, 2θ = 24.11°, I = 241; d = 2.328 Å, 2θ = 38.67°, I = 222; d = 1.600 Å, 2θ = 57.63°, I = 221; d = 3.308 Å, 2θ = 26.95°, I = 191

Structure:
```
Dy3Si8Os3
1.0
7.512 -2.090 0.000
7.512 2.090 0.000
-4.097 0.000 7.382
Dy Si Os
3 8 3
direct
0.000 0.000 0.000
0.295 0.295 0.343
0.705 0.705 0.657
0.117 0.117 0.382
0.141 0.141 0.841
0.363 0.363 0.749
0.484 0.484 0.299
0.516 0.516 0.701
0.637 0.637 0.251
0.859 0.859 0.159
0.883 0.883 0.618
0.000 0.000 0.500
0.326 0.326 0.994
0.674 0.674 0.006
```

6.
Simulated powder diffraction line list
Compound: Cd12In16Ag
Radiation: Cu Kα (weighted mean of Kα1 and Kα2)
Structure: a cell relaxed with PBE
No peak broadening, texture or thermal motion is included.

Largest 10 diffraction maxima, most intense first, 2θ from 15° to 90°:
d = 2.680 Å, 2θ = 33.43°, I = 1000; d = 2.670 Å, 2θ = 33.56°, I = 917; d = 2.661 Å, 2θ = 33.69°, I = 734; d = 2.834 Å, 2θ = 31.57°, I = 318; d = 2.419 Å, 2θ = 37.16°, I = 270; d = 2.400 Å, 2θ = 37.47°, I = 220; d = 2.431 Å, 2θ = 36.98°, I = 218; d = 2.227 Å, 2θ = 40.51°, I = 195; d = 1.547 Å, 2θ = 59.79°, I = 169; d = 1.539 Å, 2θ = 60.12°, I = 150

Structure:
```
Cd12In16Ag
1.0
5.663 -8.023 0.000
5.663 8.023 0.000
-5.551 0.000 8.011
Cd In Ag
12 16 1
direct
0.000 0.000 0.000
0.244 0.622 0.624
0.245 0.430 0.816
0.419 0.604 0.419
0.427 0.809 0.001
0.430 0.245 0.816
0.604 0.419 0.419
0.622 0.244 0.624
0.798 0.987 0.180
0.799 0.799 0.622
0.809 0.427 0.001
0.987 0.798 0.180
0.019 0.019 0.524
0.034 0.334 0.219
0.205 0.615 0.118
0.207 0.940 0.816
0.281 0.281 0.482
0.306 0.899 0.497
0.334 0.034 0.219
0.599 0.599 0.157
0.615 0.205 0.118
0.615 0.928 0.400
0.617 0.954 0.804
0.618 0.618 0.816
0.899 0.306 0.497
0.928 0.615 0.400
0.940 0.207 0.816
0.954 0.617 0.804
0.299 0.299 0.080
```

7.
Simulated powder diffraction line list
Compound: TlCd2Hg4
Radiation: Cu Kα (weighted mean of Kα1 and Kα2)
Structure: a cell relaxed with PBE
No peak broadening, texture or thermal motion is included.

Largest 10 diffraction maxima, most intense first, 2θ from 15° to 90°:
d = 2.879 Å, 2θ = 31.07°, I = 1000; d = 2.396 Å, 2θ = 37.54°, I = 663; d = 2.953 Å, 2θ = 30.26°, I = 498; d = 2.517 Å, 2θ = 35.67°, I = 477; d = 1.916 Å, 2θ = 47.46°, I = 295; d = 2.714 Å, 2θ = 33.01°, I = 246; d = 3.272 Å, 2θ = 27.25°, I = 151; d = 1.514 Å, 2θ = 61.23°, I = 149; d = 1.380 Å, 2θ = 67.90°, I = 142; d = 1.775 Å, 2θ = 51.48°, I = 141

Structure:
```
TlCd2Hg4
1.0
2.517 -5.436 0.000
2.517 5.436 0.000
0.000 0.000 14.071
Tl Cd Hg
2 4 8
direct
0.092 0.908 0.750
0.908 0.092 0.250
0.362 0.638 0.545
0.362 0.638 0.955
0.638 0.362 0.045
0.638 0.362 0.455
0.000 0.000 0.000
0.000 0.000 0.500
0.251 0.749 0.144
0.251 0.749 0.356
0.415 0.585 0.750
0.585 0.415 0.250
0.749 0.251 0.644
0.749 0.251 0.856
```

8.
Simulated powder diffraction line list
Compound: LiTl2SnTe4
Radiation: Cu Kα (weighted mean of Kα1 and Kα2)
Structure: a cell relaxed with PBE
No peak broadening, texture or thermal motion is included.

Largest 10 diffraction maxima, most intense first, 2θ from 15° to 90°:
d = 3.146 Å, 2θ = 28.37°, I = 1000; d = 2.209 Å, 2θ = 40.85°, I = 729; d = 3.103 Å, 2θ = 28.77°, I = 476; d = 1.820 Å, 2θ = 50.13°, I = 201; d = 2.247 Å, 2θ = 40.14°, I = 196; d = 1.797 Å, 2θ = 50.82°, I = 188; d = 2.204 Å, 2θ = 40.96°, I = 181; d = 1.391 Å, 2θ = 67.29°, I = 165; d = 1.403 Å, 2θ = 66.66°, I = 162; d = 3.810 Å, 2θ = 23.35°, I = 130

Structure:
```
LiTl2SnTe4
1.0
-4.407 4.493 6.205
4.407 -4.493 6.205
4.407 4.493 -6.205
Li Tl Sn Te
2 4 2 8
direct
0.000 0.000 0.000
0.500 0.000 0.500
0.000 0.500 0.500
0.500 0.000 0.000
0.500 0.500 0.000
0.500 0.500 0.500
0.000 0.000 0.500
0.000 0.500 0.000
0.223 0.237 0.986
0.242 0.224 0.481
0.242 0.761 0.019
0.249 0.763 0.486
0.751 0.237 0.514
0.758 0.239 0.981
0.758 0.776 0.519
0.777 0.763 0.014
```

9.
Simulated powder diffraction line list
Compound: SiPb3S6
Radiation: Cu Kα (weighted mean of Kα1 and Kα2)
Structure: a cell relaxed with PBE
No peak broadening, texture or thermal motion is included.

Largest 10 diffraction maxima, most intense first, 2θ from 15° to 90°:
d = 3.677 Å, 2θ = 24.21°, I = 1000; d = 3.661 Å, 2θ = 24.31°, I = 474; d = 4.939 Å, 2θ = 17.96°, I = 398; d = 2.323 Å, 2θ = 38.77°, I = 392; d = 2.453 Å, 2θ = 36.63°, I = 342; d = 2.311 Å, 2θ = 38.97°, I = 329; d = 3.913 Å, 2θ = 22.73°, I = 274; d = 3.857 Å, 2θ = 23.06°, I = 211; d = 1.784 Å, 2θ = 51.21°, I = 186; d = 2.052 Å, 2θ = 44.14°, I = 185

Structure:
```
SiPb3S6
1.0
6.067 -7.715 0.000
6.067 7.715 0.000
0.000 0.000 5.773
Si Pb S
2 6 12
direct
0.205 0.795 0.500
0.795 0.205 0.000
0.062 0.296 0.581
0.296 0.062 0.081
0.393 0.607 0.094
0.607 0.393 0.594
0.704 0.938 0.581
0.938 0.704 0.081
0.072 0.928 0.400
0.120 0.590 0.363
0.219 0.781 0.864
0.330 0.345 0.825
0.345 0.330 0.325
0.410 0.880 0.363
0.590 0.120 0.863
0.655 0.670 0.825
0.670 0.655 0.325
0.781 0.219 0.364
0.880 0.410 0.863
0.928 0.072 0.900
```

10.
Simulated powder diffraction line list
Compound: Y6Ni2Ag
Radiation: Cu Kα (weighted mean of Kα1 and Kα2)
Structure: a cell relaxed with PBE
No peak broadening, texture or thermal motion is included.

Largest 10 diffraction maxima, most intense first, 2θ from 15° to 90°:
d = 2.789 Å, 2θ = 32.09°, I = 1000; d = 2.594 Å, 2θ = 34.58°, I = 749; d = 2.561 Å, 2θ = 35.04°, I = 463; d = 2.615 Å, 2θ = 34.29°, I = 421; d = 1.543 Å, 2θ = 59.96°, I = 303; d = 2.350 Å, 2θ = 38.30°, I = 277; d = 2.980 Å, 2θ = 29.99°, I = 266; d = 2.540 Å, 2θ = 35.34°, I = 219; d = 2.498 Å, 2θ = 35.95°, I = 175; d = 2.282 Å, 2θ = 39.48°, I = 174

Structure:
```
Y6Ni2Ag
1.0
-4.701 4.811 4.996
4.701 -4.811 4.996
4.701 4.811 -4.996
Y Ni Ag
12 4 2
direct
0.043 0.237 0.806
0.181 0.284 0.465
0.181 0.716 0.897
0.325 0.017 0.692
0.325 0.633 0.308
0.431 0.237 0.194
0.569 0.763 0.806
0.675 0.367 0.692
0.675 0.983 0.308
0.819 0.284 0.103
0.819 0.716 0.535
0.957 0.763 0.194
0.119 0.619 0.500
0.349 0.000 0.349
0.651 0.000 0.651
0.881 0.381 0.500
0.000 0.000 0.000
0.500 0.500 0.000
```

11.
Simulated powder diffraction line list
Compound: PmTlNi
Radiation: Cu Kα (weighted mean of Kα1 and Kα2)
Structure: a cell relaxed with PBE
No peak broadening, texture or thermal motion is included.

Largest 10 diffraction maxima, most intense first, 2θ from 15° to 90°:
d = 2.687 Å, 2θ = 33.35°, I = 1000; d = 2.701 Å, 2θ = 33.16°, I = 750; d = 2.405 Å, 2θ = 37.40°, I = 535; d = 2.934 Å, 2θ = 30.47°, I = 422; d = 2.730 Å, 2θ = 32.80°, I = 399; d = 1.988 Å, 2θ = 45.63°, I = 308; d = 1.639 Å, 2θ = 56.12°, I = 301; d = 3.517 Å, 2θ = 25.33°, I = 265; d = 2.502 Å, 2θ = 35.89°, I = 248; d = 1.647 Å, 2θ = 55.83°, I = 232

Structure:
```
PmTlNi
1.0
5.556 -1.988 0.000
5.556 1.988 0.000
-4.397 0.000 6.190
Pm Tl Ni
2 2 2
direct
0.066 0.066 0.337
0.934 0.934 0.663
0.320 0.320 0.909
0.680 0.680 0.091
0.372 0.372 0.343
0.628 0.628 0.657
```